Calculated PXRD pattern of Li2Mn3NbO8 for Cu Ka, from a structure optimized by DFT (GGA+U).
No peak broadening, texture or thermal motion is included.

Top 12 peaks for 10 to 80 degrees two-theta, by intensity:
2θ = 17.95°, 4.942 Å, I 100
2θ = 17.71°, 5.009 Å, I 50
2θ = 39.49°, 2.282 Å, I 34
2θ = 42.80°, 2.113 Å, I 26
2θ = 43.22°, 2.093 Å, I 25
2θ = 33.14°, 2.703 Å, I 20
2θ = 59.79°, 1.547 Å, I 18
2θ = 17.59°, 5.043 Å, I 12
2θ = 32.89°, 2.724 Å, I 12
2θ = 36.36°, 2.471 Å, I 11
2θ = 52.49°, 1.743 Å, I 11
2θ = 61.61°, 1.505 Å, I 11

Structural model:
```
data_Li2Mn3NbO8
_space_group_name_H-M_alt 'P -1'
_space_group_IT_number 2
_space_group_name_Hall '-P 1'
_cell_length_a 6.205
_cell_length_b 6.236
_cell_length_c 8.376
_cell_angle_alpha 91.17
_cell_angle_beta 90.70
_cell_angle_gamma 94.38
loop_
_atom_site_label
_atom_site_fract_x
_atom_site_fract_y
_atom_site_fract_z
_atom_site_occupancy
Li1 0.242 0.019 0.127 1
Li2 0.256 0.493 0.377 1
Mn1 0.000 0.000 0.500 1
Mn2 0.000 0.500 0.000 1
Mn3 0.242 0.260 0.747 1
Mn4 0.500 0.000 0.500 1
Mn5 0.500 0.500 0.000 1
Nb1 0.255 0.763 0.757 1
O1 0.012 0.524 0.767 1
O2 0.035 0.997 0.740 1
O3 0.235 0.225 0.518 1
O4 0.240 0.297 0.983 1
O5 0.265 0.763 0.987 1
O6 0.267 0.766 0.514 1
O7 0.464 0.510 0.763 1
O8 0.492 0.992 0.736 1
```